Diffraction record for Li3Fe4B4O12. The X-ray diffraction stick pattern is theoretical, not measured: it uses a GGA+U-relaxed structure and copper Kα.

Atomic structure:
Lattice parameters (Å, degrees): 5.2413 5.2552 10.1597 88.92 89.82 60.25
Atoms (fractional coordinates):
Li 0.0000 0.0000 0.0000
Li 0.0146 0.6635 0.2654
Li 0.9654 0.6903 0.7610
Fe 0.3018 0.0200 0.7275
Fe 0.3211 0.3337 0.9812
Fe 0.6485 0.6657 0.4827
Fe 0.6802 0.3310 0.2321
B 0.3224 0.3309 0.4751
B 0.3292 0.0029 0.2286
B 0.6463 0.3446 0.7297
B 0.6593 0.6694 0.9775
O 0.0465 0.5692 0.4583
O 0.0810 0.9779 0.2118
O 0.3222 0.2655 0.1975
O 0.3601 0.0647 0.5207
O 0.3754 0.3728 0.7616
O 0.3931 0.9189 0.9444
O 0.5670 0.3563 0.4423
O 0.5930 0.7609 0.2747
O 0.6593 0.5958 0.6845
O 0.6656 0.4128 0.0196
O 0.8997 0.0815 0.7436
O 0.9166 0.6810 0.9652

Top 10 peaks for 5° ≤ 2θ ≤ 70°, in order of rising 2θ:
2θ/deg	intensity
19.5	83.2
21.5	100.0
26.0	26.9
26.2	29.1
26.5	34.3
34.1	54.1
34.2	31.8
35.3	90.7
40.7	35.5
49.4	33.3